Starting from the GGA-PBE geometry in Alexandria, the powder diffraction line list of Ca3BiC4O12 was calculated for Cu Kα (λ = 1.5418 Å).

Structural model:
a b c (Å): 10.2447 10.2447 8.9943
angles (deg): 90.00 90.00 120.00
Space group R32 (No. 155, hexagonal axes)
One atom of each set of equivalent atoms:
Ca 0.0000 0.5320 0.0000 (multiplicity 9)
Bi 0.0000 0.0000 0.0000 (multiplicity 3)
C 0.0000 0.0000 0.5000 (multiplicity 3)
C 0.0000 0.4714 0.5000 (multiplicity 9)
O 0.0000 0.5975 0.5000 (multiplicity 9)
O 0.0000 0.8732 0.5000 (multiplicity 9)
O 0.0112 0.2069 0.8205 (multiplicity 18)

Principal peaks in the range 10° ≤ 2θ ≤ 80°, sorted by position:
2theta  Rel. int.  h k l
14.0  62  1 0 1
17.3  38  1 1 0
22.2  23  0 1 2
22.3  42  0 2 1
28.3  100  2 0 2
28.4  30  2 1 1
33.3  24  1 2 2
35.0  26  2 2 0
45.2  24  0 2 4
46.6  30  2 2 3